Diffraction record for Cs2Nd4Cu4Se9. The powder X-ray diffraction pattern is calculated, not measured: it uses a crystal structure in OQMD, relaxed with PBE and Cu Kα.

Structural model:
Cell lengths 7.7411, 7.7411, 17.1842 Å; angles 107.75, 107.75, 31.71 degrees
Fractional positions:
Cs (0.0288, 0.0288, 0.2704)
Cs (0.9712, 0.9712, 0.7296)
Nd (0.2298, 0.2298, 0.1014)
Nd (0.3462, 0.3462, 0.4456)
Nd (0.6538, 0.6538, 0.5544)
Nd (0.7702, 0.7702, 0.8986)
Cu (0.2440, 0.2440, 0.7273)
Cu (0.4262, 0.4262, 0.0307)
Cu (0.5738, 0.5738, 0.9693)
Cu (0.7560, 0.7560, 0.2727)
Se (0.0000, 0.0000, 0.5000)
Se (0.1359, 0.1359, 0.9247)
Se (0.2967, 0.2967, 0.6017)
Se (0.3399, 0.3399, 0.2747)
Se (0.3974, 0.3974, 0.8773)
Se (0.6026, 0.6026, 0.1227)
Se (0.6601, 0.6601, 0.7253)
Se (0.7033, 0.7033, 0.3983)
Se (0.8641, 0.8641, 0.0753)

Top 8 peaks for 2θ = 10–90°, by angle:
2θ/deg  I (rel.)
12.53  425
27.71  540
28.15  949
28.36  602
29.64  463
30.04  768
36.92  537
42.76  1000